# Sm3Tl3Ag2
Theoretical X-ray diffraction stick pattern, Cu Kα X-rays. Input: a structure optimized by DFT (PBE).

Structural model:
```
data_Sm3Tl3Ag2
_symmetry_space_group_name_H-M 'I m m m'
_symmetry_Int_Tables_number 71
_symmetry_space_group_name_Hall '-I 2 2'
_cell_length_a 4.595
_cell_length_b 4.972
_cell_length_c 18.161
_cell_angle_alpha 90.00
_cell_angle_beta 90.00
_cell_angle_gamma 90.00
loop_
_atom_site_label
_atom_site_fract_x
_atom_site_fract_y
_atom_site_fract_z
Sm1 0.000 0.000 0.000
Sm2 0.000 0.500 0.142
Tl1 0.000 0.000 0.500
Tl2 0.000 0.500 0.361
Ag1 0.000 0.000 0.246
```

The 10 most intense peaks (2θ = 5–70°), low angle first:
| hkl | two_theta | Rel. int. |
| --- | --- | --- |
| 1 1 4 | 33.1 | 100 |
| 0 2 0 | 36.1 | 21 |
| 2 0 0 | 39.2 | 17 |
| 0 0 8 | 39.7 | 12 |
| 2 2 0 | 54.4 | 13 |
| 0 2 8 | 54.8 | 9 |
| 2 0 8 | 57.0 | 8 |
| 1 3 4 | 63.1 | 18 |
| 3 1 4 | 67.2 | 13 |
| 2 2 8 | 69.4 | 9 |

***

# P2Pb3O8
Theoretical X-ray diffraction stick pattern, Cu Kα X-rays. Input: a structure optimized by DFT (PBE).

Structural model:
```
data_P2Pb3O8
_symmetry_space_group_name_H-M 'C 1 2/c 1'
_symmetry_Int_Tables_number 15
_symmetry_space_group_name_Hall '-C 2yc'
_cell_length_a 13.813
_cell_length_b 5.992
_cell_length_c 9.958
_cell_angle_alpha 90.00
_cell_angle_beta 93.02
_cell_angle_gamma 90.00
loop_
_atom_site_label
_atom_site_fract_x
_atom_site_fract_y
_atom_site_fract_z
P1 0.095 0.240 0.420
Pb1 0.000 0.344 0.750
Pb2 0.177 0.147 0.134
O1 0.015 0.290 0.097
O2 0.124 0.020 0.346
O3 0.125 0.213 0.572
O4 0.149 0.439 0.354
```

The 10 most intense peaks (2θ = 5–70°), low angle first:
| hkl | two_theta | Rel. int. |
| --- | --- | --- |
| 2 0 2 | 22.6 | 32 |
| 1 1 -2 | 23.9 | 40 |
| 3 1 0 | 24.4 | 53 |
| 3 1 -1 | 25.7 | 25 |
| 3 1 1 | 26.4 | 78 |
| 4 0 -2 | 30.8 | 37 |
| 1 1 -3 | 31.2 | 100 |
| 6 0 0 | 39.2 | 30 |
| 2 2 3 | 43.2 | 32 |
| 6 2 1 | 51.3 | 22 |

***

# BiTePt
Theoretical X-ray diffraction stick pattern, Cu Kα X-rays. Input: a structure optimized by DFT (PBE).

Structural model:
```
data_BiTePt
_symmetry_space_group_name_H-M 'P 3 m 1'
_symmetry_Int_Tables_number 156
_symmetry_space_group_name_Hall 'P 3 -2"'
_cell_length_a 4.1390
_cell_length_b 4.1390
_cell_length_c 5.4388
_cell_angle_alpha 90.00
_cell_angle_beta 90.00
_cell_angle_gamma 120.00
loop_
_atom_site_label
_atom_site_fract_x
_atom_site_fract_y
_atom_site_fract_z
Bi1 0.0000 0.0000 0.0000
Te1 0.3333 0.6667 0.5072
Pt1 0.6667 0.3333 0.2697
```

The 10 most intense peaks (2θ = 5–70°), low angle first:
| hkl | two_theta | Rel. int. |
| --- | --- | --- |
| 0 0 1 | 16.3 | 21 |
| 1 0 0 | 24.8 | 4 |
| 1 0 1 | 29.9 | 100 |
| 0 1 2 | 41.7 | 44 |
| 1 1 0 | 43.7 | 40 |
| 1 1 1 | 47.0 | 9 |
| 0 2 1 | 53.9 | 20 |
| 0 1 3 | 56.9 | 15 |
| 2 0 2 | 62.0 | 14 |
| 1 1 3 | 68.8 | 5 |

***

# AlTl2InO4
Theoretical X-ray diffraction stick pattern, Cu Kα X-rays. Input: a structure optimized by DFT (PBE).

Structural model:
```
data_AlTl2InO4
_symmetry_space_group_name_H-M 'F d d d'
_symmetry_Int_Tables_number 70
_cell_length_a 5.622
_cell_length_b 11.999
_cell_length_c 20.681
_cell_angle_alpha 90.00
_cell_angle_beta 90.00
_cell_angle_gamma 90.00
loop_
_symmetry_equiv_pos_as_xyz
'x,y,z'
'-x,-y,-z'
'-x+1/4,-y+1/4,z'
'x+1/4,y+1/4,-z'
'x,-y+1/4,-z+1/4'
'-x,y+1/4,z+1/4'
'-x+1/4,y,-z+1/4'
'x+1/4,-y,z+1/4'
'x,y+1/2,z+1/2'
'-x,-y+1/2,-z+1/2'
'-x+1/4,-y+3/4,z+1/2'
'x+1/4,y+3/4,-z+1/2'
'x,-y+3/4,-z+3/4'
'-x,y+3/4,z+3/4'
'-x+1/4,y+1/2,-z+3/4'
'x+1/4,-y+1/2,z+3/4'
'x+1/2,y,z+1/2'
'-x+1/2,-y,-z+1/2'
'-x+3/4,-y+1/4,z+1/2'
'x+3/4,y+1/4,-z+1/2'
'x+1/2,-y+1/4,-z+3/4'
'-x+1/2,y+1/4,z+3/4'
'-x+3/4,y,-z+3/4'
'x+3/4,-y,z+3/4'
'x+1/2,y+1/2,z'
'-x+1/2,-y+1/2,-z'
'-x+3/4,-y+3/4,z'
'x+3/4,y+3/4,-z'
'x+1/2,-y+3/4,-z+1/4'
'-x+1/2,y+3/4,z+1/4'
'-x+3/4,y+1/2,-z+1/4'
'x+3/4,-y+1/2,z+1/4'
loop_
_atom_site_label
_atom_site_fract_x
_atom_site_fract_y
_atom_site_fract_z
Al1 0.125 0.125 0.125
Tl1 0.125 0.125 0.432
In1 0.125 0.125 0.625
O1 0.091 0.277 0.342
```

The 10 most intense peaks (2θ = 5–70°), low angle first:
| hkl | two_theta | Rel. int. |
| --- | --- | --- |
| 0 0 4 | 17.1 | 60 |
| 1 1 1 | 17.9 | 48 |
| 1 1 3 | 21.7 | 44 |
| 1 1 5 | 27.8 | 100 |
| 0 4 0 | 29.8 | 40 |
| 0 2 6 | 29.9 | 46 |
| 1 3 5 | 35.1 | 64 |
| 2 2 0 | 35.3 | 58 |
| 0 2 10 | 46.4 | 30 |
| 2 4 6 | 51.9 | 32 |

***

# Pr3Y6Er
Theoretical X-ray diffraction stick pattern, Cu Kα X-rays. Input: a structure optimized by DFT (PBE).

Structural model:
```
data_Pr3Y6Er
_symmetry_space_group_name_H-M 'C m c 21'
_symmetry_Int_Tables_number 36
_symmetry_space_group_name_Hall 'C 2c -2'
_cell_length_a 9.361
_cell_length_b 20.921
_cell_length_c 6.920
_cell_angle_alpha 90.00
_cell_angle_beta 90.00
_cell_angle_gamma 90.00
loop_
_atom_site_label
_atom_site_fract_x
_atom_site_fract_y
_atom_site_fract_z
Pr1 0.000 0.153 0.000
Pr2 0.183 0.435 0.979
Y1 0.000 0.002 0.232
Y2 0.000 0.156 0.490
Y3 0.184 0.405 0.473
Y4 0.189 0.270 0.760
Er1 0.000 0.302 0.191
```

The 10 most intense peaks (2θ = 5–70°), low angle first:
| hkl | two_theta | Rel. int. |
| --- | --- | --- |
| 0 2 2 | 27.1 | 39 |
| 0 6 1 | 28.7 | 61 |
| 3 1 0 | 28.9 | 84 |
| 1 3 2 | 30.4 | 100 |
| 0 4 2 | 31.0 | 75 |
| 1 7 0 | 31.4 | 76 |
| 3 1 1 | 31.7 | 40 |
| 2 6 0 | 32.0 | 97 |
| 2 2 2 | 33.3 | 47 |
| 3 1 2 | 39.1 | 46 |

***

# HoSnF
Theoretical X-ray diffraction stick pattern, Cu Kα X-rays. Input: a structure optimized by DFT (PBE).

Structural model:
```
data_HoSnF
_symmetry_space_group_name_H-M 'R -3'
_symmetry_Int_Tables_number 148
_symmetry_space_group_name_Hall '-R 3'
_cell_length_a 10.4555
_cell_length_b 10.4555
_cell_length_c 12.2373
_cell_angle_alpha 90.00
_cell_angle_beta 90.00
_cell_angle_gamma 120.00
loop_
_atom_site_label
_atom_site_fract_x
_atom_site_fract_y
_atom_site_fract_z
Ho1 0.0565 0.5993 0.2718
Sn1 0.0444 0.1838 0.8528
F1 0.0522 0.8580 0.4232
```

The 10 most intense peaks (2θ = 5–70°), low angle first:
| hkl | two_theta | Rel. int. |
| --- | --- | --- |
| 3 -1 1 | 27.1 | 39 |
| 1 1 3 | 27.7 | 40 |
| 1 2 2 | 29.9 | 80 |
| 1 0 4 | 30.9 | 50 |
| 0 2 4 | 35.4 | 22 |
| 4 -3 1 | 36.5 | 100 |
| 3 0 3 | 37.1 | 23 |
| 3 1 2 | 38.8 | 36 |
| 5 -1 3 | 51.4 | 33 |
| 2 5 0 | 64.2 | 21 |

***

# Y5Er3Th3
Theoretical X-ray diffraction stick pattern, Cu Kα X-rays. Input: a structure optimized by DFT (PBE).

Structural model:
```
data_Y5Er3Th3
_symmetry_space_group_name_H-M 'A m m 2'
_symmetry_Int_Tables_number 38
_symmetry_space_group_name_Hall 'A 2 -2'
_cell_length_a 3.556
_cell_length_b 19.355
_cell_length_c 10.518
_cell_angle_alpha 90.00
_cell_angle_beta 90.00
_cell_angle_gamma 90.00
loop_
_atom_site_label
_atom_site_fract_x
_atom_site_fract_y
_atom_site_fract_z
Y1 0.000 0.000 0.000
Y2 0.500 0.159 0.518
Y3 0.500 0.160 0.940
Er1 0.000 0.000 0.457
Er2 0.500 0.084 0.230
Th1 0.000 0.231 0.229
Th2 0.500 0.000 0.727
```

The 10 most intense peaks (2θ = 5–70°), low angle first:
| hkl | two_theta | Rel. int. |
| --- | --- | --- |
| 0 3 3 | 29.0 | 24 |
| 1 4 0 | 31.2 | 25 |
| 1 2 2 | 31.8 | 100 |
| 0 6 2 | 32.6 | 32 |
| 0 7 1 | 33.5 | 23 |
| 0 0 4 | 34.1 | 29 |
| 1 5 1 | 35.3 | 37 |
| 2 0 0 | 51.4 | 14 |
| 1 5 5 | 56.1 | 15 |
| 1 10 2 | 56.9 | 15 |